1.
Theoretical powder XRD pattern
Compound: Dy4SnSe2S
Radiation: Cu Kα (λ = 1.5418 Å)
Structure: a GGA-PBE-relaxed structure
Lines closer than 0.1° are merged.

The 10 most intense peaks (2θ from 10° to 80°), sorted by position:
| two_theta | d/Å | I_rel | index |
| --- | --- | --- | --- |
| 26.4 | 3.372 | 22 | 2 0 2 |
| 30.6 | 2.920 | 100 | 2 2 0 |
| 43.8 | 2.066 | 62 | 2 2 4 |
| 44.0 | 2.060 | 12 | 4 0 0 |
| 51.9 | 1.762 | 7 | 2 0 6 |
| 54.3 | 1.688 | 13 | 0 4 4 |
| 54.5 | 1.684 | 13 | 4 0 4 |
| 63.8 | 1.459 | 8 | 4 4 0 |
| 72.3 | 1.307 | 16 | 2 2 8 |
| 72.4 | 1.306 | 11 | 4 4 4 |

Structural model:
Unit cell a=8.2397 b=8.2727 c=11.6931 alpha=90.00 beta=90.00 gamma=90.00
Space group Imma (No. 74)
Unique sites:
Dy  0.0000  0.0125  0.2477 x8
Dy  0.2432  0.2500  0.0060 x8
Sn  0.0000  0.0000  0.5000 x4
Se  0.0000  0.0000  0.0000 x4
Se  0.2500  0.2500  0.7500 x4
S  0.2500  0.2500  0.2500 x4

2.
Theoretical powder XRD pattern
Compound: Dy2SiS4
Radiation: Cu Kα (λ = 1.5418 Å)
Structure: a GGA-PBE-relaxed structure
Lines closer than 0.1° are merged.

The 10 most intense peaks (2θ from 10° to 80°), sorted by position:
| two_theta | d/Å | I_rel | index |
| --- | --- | --- | --- |
| 15.4 | 5.736 | 47 | 0 0 2 |
| 20.5 | 4.333 | 51 | 1 1 0 |
| 25.8 | 3.457 | 100 | 1 1 2 |
| 33.1 | 2.703 | 33 | 2 0 2 |
| 37.6 | 2.392 | 23 | 1 1 4 |
| 41.7 | 2.167 | 22 | 2 2 0 |
| 43.2 | 2.094 | 40 | 2 0 4 |
| 49.7 | 1.836 | 32 | 3 1 2 |
| 52.3 | 1.749 | 14 | 1 1 6 |
| 69.0 | 1.361 | 16 | 3 1 6 |

Structural model:
Unit cell a=6.1280 b=6.1280 c=11.4719 alpha=90.00 beta=90.00 gamma=90.00
Space group I-42m (No. 121)
Unique sites:
Dy  0.0000  0.5000  0.2500 x4
Si  0.0000  0.0000  0.0000 x2
S  0.2330  0.2330  0.1218 x8

3.
Theoretical powder XRD pattern
Compound: Dy5Si2S2
Radiation: Cu Kα (λ = 1.5418 Å)
Structure: a GGA-PBE-relaxed structure
Lines closer than 0.1° are merged.

The 10 most intense peaks (2θ from 10° to 80°), sorted by position:
| two_theta | d/Å | I_rel | index |
| --- | --- | --- | --- |
| 25.3 | 3.523 | 38 | 3 1 1 |
| 26.9 | 3.319 | 75 | 0 2 1 |
| 27.4 | 3.258 | 55 | 1 1 2 |
| 32.8 | 2.733 | 100 | 3 1 2 |
| 34.8 | 2.580 | 39 | 4 0 2 |
| 35.0 | 2.563 | 47 | 4 2 0 |
| 37.1 | 2.425 | 71 | 4 2 1 |
| 38.5 | 2.338 | 47 | 1 1 3 |
| 38.9 | 2.313 | 50 | 1 3 1 |
| 55.8 | 1.647 | 40 | 3 3 3 |

Structural model:
Unit cell a=14.2096 b=7.4027 c=7.5051 alpha=90.00 beta=90.00 gamma=90.00
Space group Cmce (No. 64)
Unique sites:
Dy  0.0000  0.0000  0.0000 x4
Dy  0.1391  0.1706  0.3367 x16
Si  0.0000  0.1236  0.6240 x8
S  0.1972  0.0000  0.0000 x8

4.
Theoretical powder XRD pattern
Compound: Dy12Si5S28
Radiation: Cu Kα (λ = 1.5418 Å)
Structure: a GGA-PBE-relaxed structure
Lines closer than 0.1° are merged.

The 10 most intense peaks (2θ from 10° to 80°), sorted by position:
| two_theta | d/Å | I_rel | index |
| --- | --- | --- | --- |
| 18.6 | 4.759 | 31 | 0 2 0 |
| 21.0 | 4.238 | 34 | 2 2 2 |
| 23.9 | 3.729 | 20 | 2 2 0 |
| 26.1 | 3.412 | 100 | 0 3 1 |
| 27.8 | 3.204 | 21 | 1 3 3 |
| 31.1 | 2.875 | 19 | 0 2 -2 |
| 36.7 | 2.447 | 31 | 4 2 2 |
| 38.3 | 2.351 | 31 | -3 1 1 |
| 41.5 | 2.176 | 38 | 4 0 2 |
| 51.9 | 1.761 | 18 | 5 3 5 |

Structural model:
Unit cell a=9.7888 b=11.3433 c=11.3575 alpha=60.88 beta=64.50 gamma=64.46
Space group P1 (No. 1)
Unique sites:
Dy  0.0000  0.0000  0.0000 x1
Dy  0.0014  0.5183  0.4623 x1
Dy  0.0913  0.2356  0.1755 x1
Dy  0.1016  0.6962  0.6998 x1
Dy  0.2139  0.5761  0.0612 x1
Dy  0.2361  0.0847  0.5380 x1
Dy  0.5054  0.9519  0.9490 x1
Dy  0.5185  0.4736  0.4175 x1
Dy  0.6465  0.3404  0.7889 x1
Dy  0.6488  0.8095  0.3017 x1
Dy  0.7300  0.0424  0.4977 x1
Dy  0.7408  0.5311  0.0142 x1
Si  0.2031  0.8567  0.2486 x1
Si  0.2049  0.3477  0.7377 x1
Si  0.5357  0.7750  0.6587 x1
Si  0.5373  0.2729  0.1543 x1
Si  0.8714  0.9901  0.7738 x1
S  0.0071  0.9865  0.5513 x1
S  0.0361  0.5039  0.9926 x1
S  0.1068  0.8369  0.8404 x1
S  0.1254  0.3310  0.3330 x1
S  0.2011  0.6716  0.4302 x1
S  0.2052  0.1661  0.9242 x1
S  0.2827  0.8140  0.0605 x1
S  0.2921  0.3121  0.5465 x1
S  0.3405  0.9791  0.2186 x1
S  0.3589  0.4591  0.7008 x1
S  0.3894  0.8042  0.5446 x1
S  0.3970  0.3061  0.0335 x1
S  0.4491  0.9657  0.6973 x1
S  0.4499  0.4611  0.1963 x1
S  0.5304  0.5963  0.8478 x1
S  0.5431  0.0832  0.3336 x1
S  0.6064  0.6838  0.1782 x1
S  0.6454  0.1468  0.7069 x1
S  0.7101  0.5094  0.5107 x1
S  0.7205  0.9993  0.0019 x1
S  0.7649  0.7782  0.5139 x1
S  0.7673  0.2758  0.0084 x1
S  0.7732  0.3014  0.3036 x1
S  0.7813  0.8054  0.8082 x1
S  0.9607  0.1706  0.7304 x1
S  0.9643  0.7174  0.2130 x1
S  0.9737  0.4916  0.7332 x1
S  0.9764  0.0086  0.2486 x1

5.
Theoretical powder XRD pattern
Compound: SmDy2S4
Radiation: Cu Kα (λ = 1.5418 Å)
Structure: a GGA-PBE-relaxed structure
Lines closer than 0.1° are merged.

The 10 most intense peaks (2θ from 10° to 80°), sorted by position:
| two_theta | d/Å | I_rel | index |
| --- | --- | --- | --- |
| 24.5 | 3.638 | 100 | 0 2 3 |
| 25.1 | 3.550 | 28 | 1 1 1 |
| 27.5 | 3.241 | 25 | 0 4 0 |
| 27.7 | 3.218 | 26 | 1 1 2 |
| 31.9 | 2.807 | 36 | 1 3 1 |
| 34.0 | 2.633 | 50 | 1 3 2 |
| 42.1 | 2.145 | 31 | 1 1 5 |
| 44.3 | 2.044 | 17 | 1 5 2 |
| 46.8 | 1.940 | 39 | 0 6 3 |
| 53.9 | 1.700 | 24 | 2 2 3 |

Structural model:
Unit cell a=3.8451 b=12.9639 c=13.1853 alpha=90.00 beta=90.00 gamma=90.00
Space group Cmcm (No. 63)
Unique sites:
Sm  0.0000  0.1254  0.2500 x4
Dy  0.0000  0.3703  0.0690 x8
S  0.0000  0.0000  0.0000 x4
S  0.0000  0.2744  0.6206 x8
S  0.0000  0.4670  0.2500 x4

6.
Theoretical powder XRD pattern
Compound: SmDy2S3
Radiation: Cu Kα (λ = 1.5418 Å)
Structure: a GGA-PBE-relaxed structure
Lines closer than 0.1° are merged.

The 10 most intense peaks (2θ from 10° to 80°), sorted by position:
| two_theta | d/Å | I_rel | index |
| --- | --- | --- | --- |
| 27.7 | 3.217 | 81 | 1 1 0 |
| 32.1 | 2.786 | 100 | 0 2 0 |
| 46.1 | 1.970 | 60 | 2 0 0 |
| 46.1 | 1.969 | 12 | 0 0 6 |
| 54.6 | 1.680 | 39 | 2 1 3 |
| 57.3 | 1.608 | 25 | 2 2 0 |
| 67.2 | 1.393 | 11 | 0 4 0 |
| 74.1 | 1.279 | 8 | 3 1 0 |
| 76.4 | 1.246 | 16 | 3 0 3 |
| 76.5 | 1.245 | 16 | 1 4 3 |

Structural model:
Unit cell a=3.9453 b=5.5678 c=11.8110 alpha=90.00 beta=90.00 gamma=90.00
Space group Immm (No. 71)
Unique sites:
Sm  0.0000  0.0000  0.0000 x2
Dy  0.0000  0.0000  0.3366 x4
S  0.0000  0.5000  0.0000 x2
S  0.0000  0.5000  0.3274 x4

7.
Theoretical powder XRD pattern
Compound: Sm4DyS7
Radiation: Cu Kα (λ = 1.5418 Å)
Structure: a GGA-PBE-relaxed structure
Lines closer than 0.1° are merged.

The 10 most intense peaks (2θ from 10° to 80°), sorted by position:
| two_theta | d/Å | I_rel | index |
| --- | --- | --- | --- |
| 23.5 | 3.780 | 81 | 2 0 2 |
| 24.0 | 3.708 | 100 | 2 0 -3 |
| 25.8 | 3.458 | 32 | 1 1 1 |
| 27.2 | 3.281 | 37 | 4 0 -1 |
| 30.9 | 2.897 | 38 | 3 1 -1 |
| 32.5 | 2.758 | 55 | 3 1 -2 |
| 33.6 | 2.668 | 36 | 3 1 1 |
| 41.4 | 2.182 | 28 | 1 1 4 |
| 46.4 | 1.956 | 34 | 6 0 -4 |
| 46.7 | 1.944 | 26 | 0 2 0 |

Structural model:
Unit cell a=13.1264 b=3.8882 c=11.7854 alpha=90.00 beta=104.94 gamma=90.00
Space group Cm (No. 8)
Unique sites:
Sm  0.0000  0.0000  0.0000 x2
Sm  0.0877  0.5000  0.3864 x2
Sm  0.1893  0.0000  0.7677 x2
Sm  0.3881  0.5000  0.5754 x2
Dy  0.2764  0.5000  0.1552 x2
S  0.0482  0.5000  0.6280 x2
S  0.1305  0.5000  0.9321 x2
S  0.1526  0.0000  0.2243 x2
S  0.2280  0.0000  0.5255 x2
S  0.3471  0.5000  0.7921 x2
S  0.3855  0.0000  0.0791 x2
S  0.4287  0.5000  0.3581 x2

8.
Theoretical powder XRD pattern
Compound: TbSm4DyS8
Radiation: Cu Kα (λ = 1.5418 Å)
Structure: a GGA-PBE-relaxed structure
Lines closer than 0.1° are merged.

The 10 most intense peaks (2θ from 10° to 80°), sorted by position:
| two_theta | d/Å | I_rel | index |
| --- | --- | --- | --- |
| 21.7 | 4.091 | 27 | 1 1 0 |
| 25.5 | 3.489 | 100 | 0 1 5 |
| 26.7 | 3.340 | 12 | 2 0 2 |
| 30.9 | 2.893 | 18 | 0 2 4 |
| 38.1 | 2.362 | 12 | 3 0 0 |
| 40.5 | 2.227 | 43 | 1 2 5 |
| 44.3 | 2.046 | 58 | 2 0 8 |
| 51.8 | 1.765 | 11 | 3 1 5 |
| 61.5 | 1.507 | 19 | 4 1 3 |
| 64.4 | 1.446 | 9 | 0 4 8 |

Structural model:
Unit cell a=8.1890 b=8.1890 c=20.0082 alpha=90.00 beta=90.00 gamma=120.00
Space group R3m (No. 160, hexagonal axes)
Unique sites:
Tb  0.0000  0.0000  0.0000 x3
Sm  0.0000  0.0000  0.3762 x3
Sm  0.0018  0.5009  0.5008 x9
Dy  0.0000  0.0000  0.6252 x3
S  0.0000  0.0000  0.2433 x3
S  0.0000  0.0000  0.7554 x3
S  0.0247  0.5124  0.7517 x9
S  0.1754  0.3507  0.5838 x9

9.
Theoretical powder XRD pattern
Compound: SmDy3Th4S8
Radiation: Cu Kα (λ = 1.5418 Å)
Structure: a GGA-PBE-relaxed structure
Lines closer than 0.1° are merged.

The 10 most intense peaks (2θ from 10° to 80°), sorted by position:
| two_theta | d/Å | I_rel | index |
| --- | --- | --- | --- |
| 26.5 | 3.358 | 29 | 0 0 6 |
| 27.7 | 3.219 | 69 | 2 0 2 |
| 31.8 | 2.817 | 100 | 0 2 4 |
| 44.8 | 2.024 | 38 | 2 0 8 |
| 46.3 | 1.961 | 35 | 2 2 0 |
| 52.8 | 1.733 | 13 | 0 2 10 |
| 54.2 | 1.694 | 24 | 2 2 6 |
| 57.2 | 1.610 | 19 | 4 0 4 |
| 74.4 | 1.276 | 17 | 2 2 12 |
| 76.6 | 1.244 | 16 | 2 4 4 |

Structural model:
Unit cell a=7.8450 b=7.8450 c=20.1563 alpha=90.00 beta=90.00 gamma=120.00
Space group R-3m (No. 166, hexagonal axes)
Unique sites:
Sm  0.0000  0.0000  0.0000 x3
Dy  0.0000  0.5000  0.0000 x9
Th  0.0000  0.0000  0.5000 x3
Th  0.0000  0.5000  0.5000 x9
S  0.0000  0.0000  0.2553 x6
S  0.0042  0.5021  0.2544 x18

10.
Theoretical powder XRD pattern
Compound: DySnS3
Radiation: Cu Kα (λ = 1.5418 Å)
Structure: a GGA-PBE-relaxed structure
Lines closer than 0.1° are merged.

The 10 most intense peaks (2θ from 10° to 80°), sorted by position:
| two_theta | d/Å | I_rel | index |
| --- | --- | --- | --- |
| 17.7 | 5.007 | 44 | 0 1 2 |
| 24.4 | 3.645 | 100 | 1 0 4 |
| 25.9 | 3.445 | 99 | 1 1 0 |
| 29.7 | 3.004 | 22 | 1 1 3 |
| 35.9 | 2.504 | 50 | 0 2 4 |
| 39.3 | 2.292 | 88 | 2 -1 6 |
| 44.7 | 2.025 | 50 | 2 1 4 |
| 45.6 | 1.989 | 53 | 3 0 0 |
| 52.0 | 1.759 | 27 | 1 0 10 |
| 61.8 | 1.502 | 23 | 2 2 6 |

Structural model:
Unit cell a=6.8896 b=6.8896 c=18.4143 alpha=90.00 beta=90.00 gamma=120.00
Space group R-3 (No. 148, hexagonal axes)
Unique sites:
Dy  0.0000  0.0000  0.1493 x6
Sn  0.0000  0.0000  0.3511 x6
S  0.0024  0.3005  0.7489 x18

11.
Theoretical powder XRD pattern
Compound: Dy5SnS4
Radiation: Cu Kα (λ = 1.5418 Å)
Structure: a GGA-PBE-relaxed structure
Lines closer than 0.1° are merged.

The 10 most intense peaks (2θ from 10° to 80°), sorted by position:
| two_theta | d/Å | I_rel | index |
| --- | --- | --- | --- |
| 27.1 | 3.293 | 19 | 2 0 -3 |
| 27.2 | 3.277 | 40 | 1 1 1 |
| 27.4 | 3.255 | 19 | 4 0 -1 |
| 31.4 | 2.849 | 53 | 2 0 2 |
| 31.6 | 2.830 | 100 | 3 1 -2 |
| 44.9 | 2.017 | 36 | 1 1 -4 |
| 45.3 | 2.000 | 72 | 0 2 0 |
| 53.5 | 1.712 | 11 | 2 2 -3 |
| 56.1 | 1.638 | 20 | 2 2 2 |
| 75.0 | 1.266 | 15 | 3 3 -2 |

Structural model:
Unit cell a=13.2216 b=4.0053 c=9.8795 alpha=90.00 beta=119.24 gamma=90.00
Space group C2/m (No. 12)
Unique sites:
Dy  0.0000  0.0000  0.0000 x2
Dy  0.1088  0.5000  0.3894 x4
Dy  0.2035  0.0000  0.8147 x4
Sn  0.0000  0.0000  0.5000 x2
S  0.0958  0.5000  0.9004 x4
S  0.2023  0.0000  0.2898 x4

12.
Theoretical powder XRD pattern
Compound: Dy6SnS4
Radiation: Cu Kα (λ = 1.5418 Å)
Structure: a GGA-PBE-relaxed structure
Lines closer than 0.1° are merged.

The 10 most intense peaks (2θ from 10° to 80°), sorted by position:
| two_theta | d/Å | I_rel | index |
| --- | --- | --- | --- |
| 27.1 | 3.290 | 26 | 1 1 3 |
| 29.6 | 3.017 | 62 | 1 1 4 |
| 30.1 | 2.972 | 100 | 0 2 6 |
| 30.9 | 2.892 | 49 | 1 3 1 |
| 31.9 | 2.806 | 99 | 1 3 2 |
| 33.5 | 2.677 | 28 | 1 3 3 |
| 45.5 | 1.994 | 37 | 0 6 4 |
| 46.0 | 1.975 | 32 | 2 0 0 |
| 47.6 | 1.911 | 29 | 1 5 5 |
| 55.9 | 1.645 | 39 | 2 2 6 |

Structural model:
Unit cell a=3.9496 b=13.0335 c=20.0374 alpha=90.00 beta=90.00 gamma=90.00
Space group Cmcm (No. 63)
Unique sites:
Dy  0.0000  0.0000  0.0000 x4
Dy  0.0000  0.1525  0.2500 x4
Dy  0.0000  0.2713  0.5846 x8
Dy  0.0000  0.4590  0.1585 x8
Sn  0.0000  0.1659  0.7500 x4
S  0.0000  0.0933  0.1217 x8
S  0.0000  0.3618  0.0389 x8